This entry pairs a crystal structure of AgB2H6 with its theoretical powder diffractogram. Radiation: Cu Kα (weighted mean of Kα1 and Kα2). Structure: a structure optimized by DFT (GGA-PBE).
Neutral-atom scattering factors, no anomalous dispersion.

Main lines, in order of rising 2θ (2θ = 10–90°):
d/Å	2θ/deg	I_rel
4.501	19.7	100
3.288	27.1	28
3.236	27.6	53
3.088	28.9	89
3.000	29.8	36
2.655	33.8	40
2.636	34.0	25
2.616	34.3	39
2.252	40.0	25
2.216	40.7	25

```
AgB2H6
1.0
3.3170 0.0000 0.0000
0.7420 3.2876 0.0000
0.0647 0.0002 9.0013
Ag B H
1 2 6
Direct
0.0000 0.0000 0.0000 Ag
0.9999 0.4976 0.5965 B
0.0001 0.5024 0.4035 B
0.1892 0.6869 0.5002 H
0.2482 0.2507 0.6620 H
0.2483 0.2589 0.3356 H
0.7517 0.7411 0.6644 H
0.7518 0.7493 0.3380 H
0.8108 0.3131 0.4998 H
```

---

This entry pairs a crystal structure of AgB3H12 with its theoretical powder diffractogram. Radiation: Cu Kα (weighted mean of Kα1 and Kα2). Structure: a structure optimized by DFT (GGA-PBE).
Neutral-atom scattering factors, no anomalous dispersion.

Main lines, in order of rising 2θ (2θ = 10–90°):
d/Å	2θ/deg	I_rel
5.187	17.1	100
3.685	24.1	31
3.650	24.4	27
2.985	29.9	15
2.593	34.6	20
2.329	38.7	25
2.311	39.0	22
2.114	42.8	15
2.107	42.9	9
1.721	53.2	9

```
AgB3H12
1.0
3.6498 2.1072 6.0480
-3.6498 2.1072 6.0480
0.0000 -4.2145 6.0480
Ag B H
2 6 24
Direct
0.0000 0.0000 0.0000 Ag
0.5000 0.5000 0.5000 Ag
0.1640 0.7794 0.3383 B
0.2794 0.6640 0.8383 B
0.3383 0.1640 0.7794 B
0.6640 0.8383 0.2794 B
0.7794 0.3383 0.1640 B
0.8383 0.2794 0.6640 B
0.0383 0.6760 0.4663 H
0.1328 0.2335 0.7902 H
0.1416 0.9442 0.3522 H
0.1598 0.8703 0.7631 H
0.1760 0.5383 0.9663 H
0.2335 0.7902 0.1328 H
0.2631 0.3703 0.6598 H
0.2902 0.7335 0.6328 H
0.3522 0.1416 0.9442 H
0.3703 0.6598 0.2631 H
0.4442 0.6416 0.8522 H
0.4663 0.0383 0.6760 H
0.5383 0.9663 0.1760 H
0.6328 0.2902 0.7335 H
0.6416 0.8522 0.4442 H
0.6598 0.2631 0.3703 H
0.6760 0.4663 0.0383 H
0.7335 0.6328 0.2902 H
0.7631 0.1598 0.8703 H
0.7902 0.1328 0.2335 H
0.8522 0.4442 0.6416 H
0.8703 0.7631 0.1598 H
0.9442 0.3522 0.1416 H
0.9663 0.1760 0.5383 H
```